Record 1
Diffraction record for ZnO2. The PXRD pattern is simulated, not measured: it uses a crystal structure in the Materials Project, relaxed with PBE and Cu Ka.
Lines closer than 0.1° are merged.

Main lines, sorted by position (2θ from 5° to 70°):
| hkl | two_theta | I (rel.) |
| --- | --- | --- |
| 0 1 1 | 24.4 | 18 |
| 0 1 2 | 28.9 | 71 |
| 1 0 2 | 33.2 | 35 |
| 0 0 4 | 35.9 | 62 |
| 1 1 0 | 36.2 | 100 |
| 1 1 1 | 37.4 | 31 |
| 1 1 4 | 51.9 | 54 |
| 1 2 1 | 55.7 | 20 |
| 2 0 0 | 57.6 | 19 |
| 1 2 2 | 58.2 | 18 |

Cell and atoms:
a = 3.201 Å, b = 3.923 Å, c = 9.994 Å
α = 90.00°, β = 90.00°, γ = 90.00°
Space group P2_12_12_1 (No. 19)
Symmetry-distinct sites (fractional):
Zn: 0.241 0.072 0.372 [4 per cell]
O: 0.242 0.079 0.585 [4 per cell]
O: 0.242 0.762 0.668 [4 per cell]

---

Record 2
Diffraction record for ZnO. The PXRD pattern is simulated, not measured: it uses a crystal structure in the Materials Project, relaxed with PBE and Cu Ka.
Lines closer than 0.1° are merged.

Main lines, sorted by position (2θ from 5° to 70°):
| hkl | two_theta | I (rel.) |
| --- | --- | --- |
| 1 0 3 | 35.0 | 15 |
| 0 0 12 | 35.4 | 42 |
| 1 0 4 | 35.9 | 62 |
| 1 0 5 | 37.1 | 48 |
| 1 0 7 | 39.9 | 53 |
| 1 0 8 | 41.6 | 100 |
| 1 0 9 | 43.4 | 40 |
| 1 0 16 | 59.9 | 31 |
| 1 1 0 | 60.6 | 59 |
| 1 0 17 | 62.7 | 18 |

Cell and atoms:
a = 3.0555 Å, b = 3.0555 Å, c = 30.4099 Å
α = 90.00°, β = 90.00°, γ = 120.00°
Space group P6_3/mmc (No. 194)
Symmetry-distinct sites (fractional):
Zn: 0.0000 0.0000 0.0000 [2 per cell]
Zn: 0.0000 0.0000 0.2500 [2 per cell]
Zn: 0.3333 0.6667 0.0825 [4 per cell]
Zn: 0.3333 0.6667 0.6651 [4 per cell]
O: 0.0000 0.0000 0.1238 [4 per cell]
O: 0.3333 0.6667 0.2062 [4 per cell]
O: 0.3333 0.6667 0.5413 [4 per cell]

---

Record 3
Diffraction record for ZnO. The PXRD pattern is simulated, not measured: it uses a crystal structure in the Materials Project, relaxed with PBE and Cu Ka.
Lines closer than 0.1° are merged.

Main lines, sorted by position (2θ from 5° to 70°):
| hkl | two_theta | I (rel.) |
| --- | --- | --- |
| 1 0 0 | 33.3 | 57 |
| 1 1 0 | 47.8 | 100 |
| 1 1 1 | 59.5 | 15 |
| 2 0 0 | 69.9 | 14 |

Cell and atoms:
a = 2.692 Å, b = 2.692 Å, c = 2.692 Å
α = 90.00°, β = 90.00°, γ = 90.00°
Space group Pm-3m (No. 221)
Symmetry-distinct sites (fractional):
Zn: 0.000 0.000 0.000 [1 per cell]
O: 0.500 0.500 0.500 [1 per cell]

---

Record 4
Diffraction record for ZnO2. The PXRD pattern is simulated, not measured: it uses a crystal structure in the Materials Project, relaxed with PBE and Cu Ka.
Lines closer than 0.1° are merged.

Main lines, sorted by position (2θ from 5° to 70°):
| hkl | two_theta | I (rel.) |
| --- | --- | --- |
| 0 1 1 | 20.5 | 35 |
| 0 1 2 | 28.9 | 100 |
| 1 1 0 | 32.6 | 76 |
| 1 1 1 | 34.7 | 34 |
| 1 2 1 | 46.2 | 49 |
| 0 0 4 | 47.4 | 26 |
| 1 2 2 | 50.8 | 21 |
| 2 0 0 | 57.0 | 20 |
| 1 2 3 | 58.0 | 49 |
| 1 3 1 | 61.6 | 24 |

Cell and atoms:
a = 3.230 Å, b = 5.235 Å, c = 7.667 Å
α = 90.00°, β = 90.00°, γ = 90.00°
Space group P2_12_12_1 (No. 19)
Symmetry-distinct sites (fractional):
Zn: 0.249 0.088 0.346 [4 per cell]
O: 0.247 0.651 0.629 [4 per cell]
O: 0.250 0.164 0.621 [4 per cell]

---

Record 5
Diffraction record for ZnO. The PXRD pattern is simulated, not measured: it uses a crystal structure in the Materials Project, relaxed with PBE and Cu Ka.
Lines closer than 0.1° are merged.

Main lines, sorted by position (2θ from 5° to 70°):
| hkl | two_theta | I (rel.) |
| --- | --- | --- |
| 1 0 1 | 31.6 | 85 |
| 2 0 0 | 31.7 | 100 |
| 1 1 1 | 35.4 | 92 |
| 2 1 0 | 35.6 | 64 |
| 2 1 1 | 45.4 | 25 |
| 0 0 2 | 56.1 | 21 |
| 3 0 1 | 56.4 | 75 |
| 2 0 2 | 65.9 | 20 |
| 3 2 1 | 66.2 | 37 |
| 2 1 2 | 68.2 | 20 |

Cell and atoms:
a = 5.638 Å, b = 5.638 Å, c = 3.279 Å
α = 90.00°, β = 90.00°, γ = 90.00°
Space group P4_2/mnm (No. 136)
Symmetry-distinct sites (fractional):
Zn: 0.181 0.181 0.000 [4 per cell]
O: 0.181 0.819 0.000 [4 per cell]